Record 1
Structure and computed PXRD pattern of Cr2P4H3O16 (the PBE+U geometry in the Materials Project; a wavelength of 1.5418 Å).
Intensities are scaled so that the largest is 100.

Crystal structure
a b c (Å): 4.927 7.388 7.990
angles (deg): 90.40 90.46 102.03
Element x y z (fractional)
Cr  0.000  0.000  0.000
Cr  0.495  0.497  0.502
P  0.099  0.741  0.669
P  0.383  0.746  0.159
P  0.603  0.249  0.840
P  0.890  0.256  0.334
H  0.346  0.891  0.475
H  0.656  0.120  0.534
H  0.922  0.465  0.981
O  0.032  0.800  0.844
O  0.157  0.341  0.432
O  0.195  0.893  0.168
O  0.242  0.573  0.060
O  0.248  0.921  0.576
O  0.295  0.602  0.673
O  0.329  0.160  0.923
O  0.430  0.692  0.342
O  0.553  0.297  0.656
O  0.659  0.839  0.079
O  0.695  0.396  0.329
O  0.727  0.431  0.937
O  0.737  0.079  0.430
O  0.796  0.108  0.834
O  0.831  0.655  0.572
O  0.954  0.197  0.159

Most intense lines, 10° ≤ 2θ ≤ 80°, sorted by position:
| 2theta | I/Imax |
| --- | --- |
| 16.5 | 63 |
| 16.6 | 59 |
| 22.8 | 74 |
| 24.2 | 100 |
| 25.4 | 37 |
| 25.6 | 35 |
| 26.6 | 27 |
| 29.8 | 83 |

Record 2
Structure and computed PXRD pattern of MgMn6O11F (the PBE+U geometry in the Materials Project; a wavelength of 1.5418 Å).
Intensities are scaled so that the largest is 100.

Crystal structure
a b c (Å): 4.993 5.055 8.649
angles (deg): 89.37 89.46 78.43
Element x y z (fractional)
Mg  0.000  0.000  0.000
Mn  0.036  0.570  0.661
Mn  0.481  0.040  0.824
Mn  0.484  0.044  0.503
Mn  0.486  0.053  0.164
Mn  0.896  0.513  0.994
Mn  0.920  0.491  0.335
O  0.103  0.279  0.156
O  0.117  0.296  0.837
O  0.135  0.305  0.501
O  0.347  0.845  0.667
O  0.381  0.840  0.999
O  0.597  0.234  0.661
O  0.608  0.241  0.329
O  0.626  0.236  0.998
O  0.824  0.772  0.162
O  0.825  0.761  0.493
O  0.842  0.788  0.834
F  0.350  0.847  0.329

Most intense lines, 10° ≤ 2θ ≤ 80°, sorted by position:
| 2theta | I/Imax |
| --- | --- |
| 22.9 | 100 |
| 28.1 | 62 |
| 35.9 | 20 |
| 36.2 | 42 |
| 36.7 | 22 |
| 48.9 | 23 |
| 49.6 | 21 |
| 55.1 | 15 |

Record 3
Structure and computed PXRD pattern of Li4FeP6O18 (the PBE+U geometry in the Materials Project; a wavelength of 1.5418 Å).
Intensities are scaled so that the largest is 100.

Crystal structure
a b c (Å): 7.366 7.366 13.959
angles (deg): 93.07 93.07 63.82
Element x y z (fractional)
Li  0.040  0.299  0.423
Li  0.216  0.444  0.047
Li  0.299  0.040  0.923
Li  0.444  0.216  0.547
Li  0.556  0.784  0.453
Li  0.701  0.960  0.077
Li  0.784  0.556  0.953
Li  0.960  0.701  0.577
Fe  0.374  0.626  0.750
Fe  0.626  0.374  0.250
P  0.035  0.148  0.114
P  0.093  0.370  0.751
P  0.148  0.035  0.614
P  0.230  0.600  0.389
P  0.370  0.093  0.251
P  0.400  0.770  0.111
P  0.600  0.230  0.889
P  0.630  0.907  0.749
P  0.770  0.400  0.611
P  0.852  0.965  0.386
P  0.907  0.630  0.249
P  0.965  0.852  0.886
O  0.084  0.247  0.034
O  0.096  0.843  0.401
O  0.099  0.370  0.857
O  0.134  0.186  0.214
O  0.140  0.550  0.288
O  0.157  0.904  0.099
O  0.179  0.808  0.867
O  0.186  0.134  0.714
O  0.189  0.477  0.697
O  0.189  0.496  0.469
O  0.192  0.821  0.633
O  0.247  0.084  0.534
O  0.370  0.099  0.357
O  0.433  0.558  0.129
O  0.442  0.567  0.371
O  0.450  0.860  0.212
O  0.477  0.189  0.197
O  0.496  0.189  0.969
O  0.504  0.811  0.031
O  0.523  0.811  0.803
O  0.550  0.140  0.788
O  0.558  0.433  0.629
O  0.567  0.442  0.871
O  0.630  0.901  0.643
O  0.753  0.916  0.466
O  0.808  0.179  0.367
O  0.811  0.504  0.531
O  0.811  0.523  0.303
O  0.814  0.866  0.286
O  0.821  0.192  0.133
O  0.843  0.096  0.901
O  0.860  0.450  0.712
O  0.866  0.814  0.786
O  0.901  0.630  0.143
O  0.904  0.157  0.599
O  0.916  0.753  0.966

Most intense lines, 10° ≤ 2θ ≤ 80°, sorted by position:
| 2theta | I/Imax |
| --- | --- |
| 12.7 | 100 |
| 18.5 | 93 |
| 24.7 | 46 |
| 28.0 | 65 |
| 29.9 | 92 |
| 30.2 | 59 |
| 32.2 | 43 |
| 37.8 | 49 |

Record 4
Structure and computed PXRD pattern of La2MoO6 (the PBE+U geometry in the Materials Project; a wavelength of 1.5418 Å).
Intensities are scaled so that the largest is 100.

Crystal structure
a b c (Å): 16.714 16.714 16.714
angles (deg): 159.90 159.90 28.58
Element x y z (fractional)
La  0.038  0.288  0.750
La  0.212  0.462  0.750
La  0.288  0.038  0.250
La  0.462  0.212  0.250
La  0.538  0.788  0.750
La  0.712  0.962  0.750
La  0.788  0.538  0.250
La  0.962  0.712  0.250
Mo  0.125  0.875  0.250
Mo  0.375  0.625  0.750
Mo  0.625  0.375  0.250
Mo  0.875  0.125  0.750
O  0.006  0.750  0.756
O  0.007  0.919  0.748
O  0.081  0.329  0.088
O  0.171  0.419  0.412
O  0.241  0.829  0.748
O  0.250  0.006  0.756
O  0.250  0.506  0.256
O  0.259  0.007  0.588
O  0.329  0.741  0.248
O  0.419  0.507  0.248
O  0.493  0.241  0.912
O  0.494  0.250  0.744
O  0.506  0.750  0.256
O  0.507  0.759  0.088
O  0.581  0.493  0.752
O  0.671  0.259  0.752
O  0.741  0.993  0.412
O  0.750  0.494  0.744
O  0.750  0.994  0.244
O  0.759  0.171  0.252
O  0.829  0.581  0.588
O  0.919  0.671  0.912
O  0.993  0.081  0.252
O  0.994  0.250  0.244

Most intense lines, 10° ≤ 2θ ≤ 80°, sorted by position:
| 2theta | I/Imax |
| --- | --- |
| 27.2 | 100 |
| 30.6 | 24 |
| 43.9 | 17 |
| 45.8 | 31 |
| 52.4 | 30 |
| 55.7 | 11 |
| 56.1 | 10 |
| 73.5 | 11 |

Record 5
Structure and computed PXRD pattern of Cs3FeF6 (the PBE+U geometry in the Materials Project; a wavelength of 1.5418 Å).
Intensities are scaled so that the largest is 100.

Crystal structure
a b c (Å): 6.795 6.795 6.795
angles (deg): 60.00 60.00 60.00
Element x y z (fractional)
Cs  0.000  0.000  0.000
Cs  0.250  0.250  0.250
Cs  0.750  0.750  0.750
Fe  0.500  0.500  0.500
F  0.295  0.295  0.705
F  0.295  0.705  0.295
F  0.295  0.705  0.705
F  0.705  0.295  0.295
F  0.705  0.295  0.705
F  0.705  0.705  0.295

Most intense lines, 10° ≤ 2θ ≤ 80°, sorted by position:
| 2theta | I/Imax |
| --- | --- |
| 26.2 | 100 |
| 32.3 | 7 |
| 37.4 | 32 |
| 46.3 | 38 |
| 54.0 | 20 |
| 61.0 | 21 |
| 67.5 | 6 |
| 73.8 | 23 |

Record 6
Structure and computed PXRD pattern of TiZnMoP3O12 (the PBE+U geometry in the Materials Project; a wavelength of 1.5418 Å).
Intensities are scaled so that the largest is 100.

Crystal structure
a b c (Å): 8.688 8.688 8.688
angles (deg): 60.45 60.45 60.45
Element x y z (fractional)
Ti  0.000  0.000  0.000
Ti  0.500  0.500  0.500
Zn  0.145  0.145  0.145
Zn  0.645  0.645  0.645
Mo  0.288  0.288  0.288
Mo  0.788  0.788  0.788
P  0.103  0.389  0.696
P  0.196  0.889  0.603
P  0.389  0.696  0.103
P  0.603  0.196  0.889
P  0.696  0.103  0.389
P  0.889  0.603  0.196
O  0.046  0.409  0.212
O  0.050  0.820  0.642
O  0.093  0.230  0.892
O  0.142  0.320  0.550
O  0.144  0.956  0.767
O  0.212  0.046  0.409
O  0.230  0.892  0.093
O  0.267  0.456  0.644
O  0.320  0.550  0.142
O  0.392  0.730  0.593
O  0.409  0.212  0.046
O  0.456  0.644  0.267
O  0.546  0.712  0.909
O  0.550  0.142  0.320
O  0.593  0.392  0.730
O  0.642  0.050  0.820
O  0.644  0.267  0.456
O  0.712  0.909  0.546
O  0.730  0.593  0.392
O  0.767  0.144  0.956
O  0.820  0.642  0.050
O  0.892  0.093  0.230
O  0.909  0.546  0.712
O  0.956  0.767  0.144

Most intense lines, 10° ≤ 2θ ≤ 80°, sorted by position:
| 2theta | I/Imax |
| --- | --- |
| 20.3 | 100 |
| 23.9 | 74 |
| 32.6 | 78 |
| 35.6 | 48 |
| 46.7 | 33 |
| 49.0 | 29 |
| 55.6 | 27 |
| 62.0 | 22 |

Record 7
Structure and computed PXRD pattern of Li5Mn3O8 (the PBE+U geometry in the Materials Project; a wavelength of 1.5418 Å).
Intensities are scaled so that the largest is 100.

Crystal structure
a b c (Å): 5.753 5.798 5.900
angles (deg): 119.16 119.11 90.03
Element x y z (fractional)
Li  0.000  0.000  0.000
Li  0.000  0.000  0.500
Li  0.000  0.500  0.000
Li  0.500  0.000  0.500
Li  0.500  0.500  0.000
Mn  0.000  0.500  0.500
Mn  0.500  0.000  0.000
Mn  0.500  0.500  0.500
O  0.237  0.740  0.954
O  0.239  0.718  0.479
O  0.251  0.273  0.502
O  0.286  0.261  0.047
O  0.714  0.739  0.953
O  0.749  0.727  0.498
O  0.761  0.282  0.521
O  0.763  0.260  0.046

Most intense lines, 10° ≤ 2θ ≤ 80°, sorted by position:
| 2theta | I/Imax |
| --- | --- |
| 18.5 | 100 |
| 18.6 | 16 |
| 35.0 | 11 |
| 36.4 | 22 |
| 42.3 | 30 |
| 44.4 | 53 |
| 62.8 | 15 |
| 63.1 | 14 |